# 1
Ca2ReHgO6: calculated powder diffraction line list (Cu Kα), based on a cell relaxed with GGA-PBE.
Lines closer than 0.1° are merged.

Structural model:
Cell: 5.4594 5.4594 5.4371 Å, 90.00 90.00 90.00°
Fractional positions:
Ca (0.0000, 0.5000, 0.0000)
Ca (0.5000, 0.0000, 0.0000)
Re (0.0000, 0.0000, 0.6324)
Hg (0.5000, 0.5000, 0.5304)
O (0.0000, 0.0000, 0.3055)
O (0.2287, 0.2287, 0.7655)
O (0.2287, 0.7713, 0.7655)
O (0.5000, 0.5000, 0.1498)
O (0.7713, 0.2287, 0.7655)
O (0.7713, 0.7713, 0.7655)

Main lines, in order of rising 2θ (2θ from 5° to 70°):
16.30 deg, I = 47; 23.05 deg, I = 63; 28.35 deg, I = 100; 32.81 deg, I = 36; 47.08 deg, I = 21; 47.18 deg, I = 22; 50.19 deg, I = 22; 55.88 deg, I = 30

=====

# 2
InGa2HgI8: calculated powder diffraction line list (Cu Kα), based on a cell relaxed with GGA-PBE.
Lines closer than 0.1° are merged.

Structural model:
Cell: 8.5130 8.5130 10.0913 Å, 103.35 103.35 59.89°
Fractional positions:
In (0.0000, 0.0000, 0.0000)
Ga (0.3124, 0.3124, 0.8908)
Ga (0.6876, 0.6876, 0.1092)
Hg (0.5000, 0.5000, 0.5000)
I (0.1282, 0.6237, 0.7866)
I (0.1287, 0.1287, 0.7856)
I (0.3609, 0.3609, 0.1492)
I (0.3763, 0.8718, 0.2134)
I (0.6237, 0.1282, 0.7866)
I (0.6391, 0.6391, 0.8508)
I (0.8713, 0.8713, 0.2144)
I (0.8718, 0.3763, 0.2134)

Main lines, in order of rising 2θ (2θ from 5° to 70°):
9.09 deg, I = 52; 21.28 deg, I = 28; 24.87 deg, I = 100; 26.83 deg, I = 36; 27.26 deg, I = 30; 32.64 deg, I = 26; 41.73 deg, I = 35; 42.52 deg, I = 43

=====

# 3
Sm3Co: calculated powder diffraction line list (Cu Kα), based on a cell relaxed with GGA-PBE.
Lines closer than 0.1° are merged.

Structural model:
Cell: 11.5843 11.5843 6.4250 Å, 90.00 90.00 90.00°
Fractional positions:
Sm (0.0337, 0.5935, 0.1915)
Sm (0.0935, 0.9663, 0.6915)
Sm (0.1109, 0.6702, 0.6913)
Sm (0.1231, 0.1866, 0.0234)
Sm (0.1702, 0.8891, 0.1913)
Sm (0.1866, 0.3769, 0.4766)
Sm (0.3134, 0.1231, 0.4766)
Sm (0.3298, 0.6109, 0.1913)
Sm (0.3769, 0.3134, 0.0234)
Sm (0.3891, 0.8298, 0.6913)
Sm (0.4065, 0.5337, 0.6915)
Sm (0.4663, 0.9065, 0.1915)
Sm (0.5337, 0.0935, 0.8085)
Sm (0.5935, 0.4663, 0.3085)
Sm (0.6109, 0.1702, 0.3087)
Sm (0.6231, 0.6866, 0.9766)
Sm (0.6702, 0.3891, 0.8087)
Sm (0.6866, 0.8769, 0.5234)
Sm (0.8134, 0.6231, 0.5234)
Sm (0.8298, 0.1109, 0.8087)
Sm (0.8769, 0.8134, 0.9766)
Sm (0.8891, 0.3298, 0.3087)
Sm (0.9065, 0.0337, 0.3085)
Sm (0.9663, 0.4065, 0.8085)
Co (0.0644, 0.1733, 0.4909)
Co (0.1733, 0.4356, 0.0091)
Co (0.3267, 0.0644, 0.0091)
Co (0.4356, 0.3267, 0.4909)
Co (0.5644, 0.6733, 0.5091)
Co (0.6733, 0.9356, 0.9909)
Co (0.8267, 0.5644, 0.9909)
Co (0.9356, 0.8267, 0.5091)

Main lines, in order of rising 2θ (2θ from 5° to 70°):
28.04 deg, I = 61; 29.88 deg, I = 86; 30.88 deg, I = 41; 31.12 deg, I = 100; 34.63 deg, I = 99; 34.85 deg, I = 68; 37.23 deg, I = 92; 54.29 deg, I = 39

=====

# 4
Tl2O3: calculated powder diffraction line list (Cu Kα), based on a cell relaxed with GGA-PBE.
Lines closer than 0.1° are merged.

Structural model:
Cell: 9.3223 9.3223 9.3223 Å, 109.47 109.47 109.47°
Fractional positions:
Tl (0.0000, 0.0000, 0.0000)
Tl (0.0000, 0.5000, 0.5000)
Tl (0.0332, 0.7832, 0.2500)
Tl (0.2168, 0.7500, 0.9668)
Tl (0.2500, 0.0332, 0.7832)
Tl (0.2500, 0.5332, 0.2832)
Tl (0.2832, 0.2500, 0.5332)
Tl (0.4668, 0.7168, 0.7500)
Tl (0.5000, 0.0000, 0.5000)
Tl (0.5000, 0.5000, 0.0000)
Tl (0.5332, 0.2832, 0.2500)
Tl (0.7168, 0.7500, 0.4668)
Tl (0.7500, 0.4668, 0.7168)
Tl (0.7500, 0.9668, 0.2168)
Tl (0.7832, 0.2500, 0.0332)
Tl (0.9668, 0.2168, 0.7500)
O (0.0044, 0.4623, 0.7337)
O (0.0377, 0.0421, 0.2714)
O (0.0421, 0.2714, 0.0377)
O (0.2286, 0.2707, 0.7663)
O (0.2293, 0.4579, 0.4956)
O (0.2337, 0.7714, 0.7293)
O (0.2663, 0.9956, 0.5377)
O (0.2714, 0.0377, 0.0421)
O (0.2707, 0.7663, 0.2286)
O (0.4579, 0.4956, 0.2293)
O (0.4623, 0.7337, 0.0044)
O (0.4956, 0.2293, 0.4579)
O (0.5044, 0.7707, 0.5421)
O (0.5377, 0.2663, 0.9956)
O (0.5421, 0.5044, 0.7707)
O (0.7293, 0.2337, 0.7714)
O (0.7286, 0.9623, 0.9579)
O (0.7337, 0.0044, 0.4623)
O (0.7663, 0.2286, 0.2707)
O (0.7707, 0.5421, 0.5044)
O (0.7714, 0.7293, 0.2337)
O (0.9579, 0.7286, 0.9623)
O (0.9623, 0.9579, 0.7286)
O (0.9956, 0.5377, 0.2663)

Main lines, in order of rising 2θ (2θ from 5° to 70°):
20.21 deg, I = 10; 28.73 deg, I = 100; 33.29 deg, I = 38; 42.84 deg, I = 9; 47.80 deg, I = 37; 56.73 deg, I = 32; 58.12 deg, I = 6; 59.50 deg, I = 7

=====

# 5
Th3In: calculated powder diffraction line list (Cu Kα), based on a cell relaxed with GGA-PBE.
Lines closer than 0.1° are merged.

Structural model:
Cell: 6.6901 6.6901 6.6901 Å, 149.29 63.19 126.24°
Fractional positions:
Th (0.0000, 0.0000, 0.0000)
Th (0.4306, 0.6657, 0.7649)
Th (0.9008, 0.6657, 0.2351)
In (0.4776, 0.9776, 0.5000)

Main lines, in order of rising 2θ (2θ from 5° to 70°):
29.21 deg, I = 27; 31.40 deg, I = 37; 33.25 deg, I = 100; 33.54 deg, I = 52; 52.20 deg, I = 19; 57.09 deg, I = 19; 62.19 deg, I = 21; 62.95 deg, I = 17

=====

# 6
HgAsCl3: calculated powder diffraction line list (Cu Kα), based on a cell relaxed with GGA-PBE.
Lines closer than 0.1° are merged.

Structural model:
Cell: 7.7719 8.8153 13.5122 Å, 90.00 91.62 90.00°
Fractional positions:
Hg (0.0000, 0.0035, 0.1267)
Hg (0.0000, 0.0035, 0.3733)
Hg (0.0000, 0.9965, 0.6267)
Hg (0.0000, 0.9965, 0.8733)
As (0.1314, 0.3634, 0.1099)
As (0.1314, 0.6366, 0.6099)
As (0.8686, 0.3634, 0.3901)
As (0.8686, 0.6366, 0.8901)
Cl (0.1468, 0.3837, 0.5891)
Cl (0.1468, 0.6163, 0.0891)
Cl (0.2507, 0.3533, 0.2612)
Cl (0.2507, 0.6467, 0.7612)
Cl (0.3556, 0.2959, 0.0237)
Cl (0.3556, 0.7041, 0.5237)
Cl (0.6444, 0.2959, 0.4763)
Cl (0.6444, 0.7041, 0.9763)
Cl (0.7493, 0.3533, 0.2388)
Cl (0.7493, 0.6467, 0.7388)
Cl (0.8532, 0.3837, 0.9109)
Cl (0.8532, 0.6163, 0.4109)

Main lines, in order of rising 2θ (2θ from 5° to 70°):
11.39 deg, I = 100; 15.20 deg, I = 39; 23.20 deg, I = 29; 25.05 deg, I = 30; 29.13 deg, I = 23; 30.42 deg, I = 20; 32.58 deg, I = 16; 36.18 deg, I = 24